Entry 1:
# Dy3Mg7Sc2
Theoretical XRD peak list, CuKα. Input: a GGA-PBE-relaxed structure.
Kinematic intensities with the Lorentz-polarization factor, no thermal factor.

Atomic structure:
a = 12.114 Å, b = 12.114 Å, c = 5.287 Å
α = 90.00°, β = 90.00°, γ = 155.69°
Atoms (fractional coordinates):
Dy 0.000 0.000 0.000
Dy 0.167 0.833 0.000
Dy 0.833 0.167 0.000
Mg 0.078 0.922 0.500
Mg 0.229 0.771 0.500
Mg 0.422 0.578 0.000
Mg 0.500 0.500 0.500
Mg 0.578 0.422 0.000
Mg 0.771 0.229 0.500
Mg 0.922 0.078 0.500
Sc 0.355 0.645 0.500
Sc 0.645 0.355 0.500

The 10 most intense peaks (2θ from 15° to 90°), sorted by position:
| two_theta | d (Å) | intensity |
| --- | --- | --- |
| 16.77 | 5.287 | 47.5 |
| 17.78 | 4.988 | 52.4 |
| 22.52 | 3.947 | 47.9 |
| 24.54 | 3.628 | 77.0 |
| 25.66 | 3.472 | 46.0 |
| 28.21 | 3.163 | 54.8 |
| 30.81 | 2.902 | 70.2 |
| 33.91 | 2.643 | 52.0 |
| 35.18 | 2.551 | 47.1 |
| 36.10 | 2.488 | 100.0 |

Entry 2:
# Ho6BiC2
Theoretical XRD peak list, CuKα. Input: a GGA-PBE-relaxed structure.
Kinematic intensities with the Lorentz-polarization factor, no thermal factor.

Atomic structure:
a = 6.988 Å, b = 6.988 Å, c = 8.770 Å
α = 121.65°, β = 121.65°, γ = 40.69°
Atoms (fractional coordinates):
Ho 0.036 0.036 0.192
Ho 0.308 0.308 0.935
Ho 0.330 0.330 0.417
Ho 0.670 0.670 0.583
Ho 0.692 0.692 0.065
Ho 0.964 0.964 0.808
Bi 0.000 0.000 0.500
C 0.180 0.180 0.093
C 0.820 0.820 0.907

The 10 most intense peaks (2θ from 15° to 90°), sorted by position:
| two_theta | d (Å) | intensity |
| --- | --- | --- |
| 20.02 | 4.435 | 14.8 |
| 27.95 | 3.192 | 41.7 |
| 29.53 | 3.025 | 33.1 |
| 30.81 | 2.902 | 100.0 |
| 36.66 | 2.452 | 14.2 |
| 37.01 | 2.429 | 33.5 |
| 41.48 | 2.177 | 19.7 |
| 41.58 | 2.172 | 20.0 |
| 50.42 | 1.810 | 13.3 |
| 62.88 | 1.478 | 13.8 |